Starting from a crystal structure in Alexandria, relaxed with GGA-PBE, the X-ray powder pattern of MgSc6Cu5 was computed for Cu Kα, 1.54184 Å.
Kinematic intensities with the Lorentz-polarization factor, no thermal factor.

Largest 10 diffraction maxima, most intense first, 10 to 80 degrees two-theta:
two_theta  intensity
38.55  100.0
38.35  50.2
69.47  28.5
55.35  15.3
69.87  14.4
55.96  7.8
26.86  3.1
13.47  2.6
19.95  2.4
28.75  2.0

Atomic structure:
Cell: 4.6915 6.5731 7.4264 Å, 90.00 108.38 90.00°
Sites, in units of the cell vectors:
Mg 0.0000 0.0000 0.0000
Sc 0.1726 0.2538 0.3458
Sc 0.1726 0.7462 0.3458
Sc 0.5000 0.2652 0.0000
Sc 0.5000 0.7348 0.0000
Sc 0.8274 0.2538 0.6542
Sc 0.8274 0.7462 0.6542
Cu 0.0000 0.5000 0.0000
Cu 0.3349 0.5000 0.6670
Cu 0.3465 0.0000 0.6929
Cu 0.6535 0.0000 0.3071
Cu 0.6651 0.5000 0.3330